1.
Computed PXRD pattern
Compound: CaIn5Ag2
Radiation: a wavelength of 1.5418 Å
Structure: a DFT-relaxed cell (PBE, Alexandria)
Neutral-atom scattering factors, no anomalous dispersion.

Cell and atoms:
Unit cell a=4.383 b=8.484 c=10.845 alpha=90.00 beta=90.00 gamma=90.00
Space group Immm (No. 71)
Asymmetric unit:
Ca1 0.000 0.000 0.000
In1 0.000 0.193 0.353
In2 0.000 0.500 0.000
Ag1 0.000 0.500 0.267

Largest 6 diffraction maxima, by angle, 10 to 80 degrees two-theta:
2theta	Rel. int.	index
30.46	63	1 2 1
32.09	100	1 0 3
37.86	73	1 3 0
39.44	56	0 2 4
40.52	75	0 3 3
41.19	41	2 0 0

---

2.
Computed PXRD pattern
Compound: CsNp2Br11
Radiation: a wavelength of 1.5418 Å
Structure: a DFT-relaxed cell (PBE, Alexandria)
Neutral-atom scattering factors, no anomalous dispersion.

Cell and atoms:
Unit cell a=13.355 b=13.363 c=15.020 alpha=90.00 beta=90.00 gamma=90.00
Space group Ibam (No. 72)
Asymmetric unit:
Cs1 0.000 0.000 0.250
Np1 0.159 0.358 0.000
Br1 0.000 0.500 0.000
Br2 0.064 0.254 0.127
Br3 0.193 0.272 0.500
Br4 0.250 0.033 0.374

Largest 6 diffraction maxima, by angle, 10 to 80 degrees two-theta:
2theta	Rel. int.	index
11.78	47	0 0 2
15.07	49	1 1 2
15.96	100	1 2 1
29.96	29	4 2 0
30.41	52	2 2 4
47.51	29	6 0 4

---

3.
Computed PXRD pattern
Compound: K3Tl2Cd2Hg4
Radiation: a wavelength of 1.5418 Å
Structure: a DFT-relaxed cell (PBE, Alexandria)
Neutral-atom scattering factors, no anomalous dispersion.

Cell and atoms:
Unit cell a=5.3909 b=5.3909 c=14.4903 alpha=90.00 beta=90.00 gamma=120.00
Space group P-3m1 (No. 164)
Asymmetric unit:
K1 0.0000 0.0000 0.0000
K2 0.0000 0.0000 0.2755
Tl1 0.3333 0.6667 0.5855
Cd1 0.3333 0.6667 0.1489
Hg1 0.3333 0.6667 0.3748
Hg2 0.3333 0.6667 0.8580

Largest 6 diffraction maxima, by angle, 10 to 80 degrees two-theta:
2theta	Rel. int.	index
19.01	55	1 0 0
24.57	33	0 0 4
31.25	57	0 1 4
33.24	100	1 1 0
41.77	51	1 1 4
58.15	19	1 2 4

---

Copy entry 1 word for word.
Computed PXRD pattern
Compound: CaIn5Ag2
Radiation: a wavelength of 1.5418 Å
Structure: a DFT-relaxed cell (PBE, Alexandria)
Neutral-atom scattering factors, no anomalous dispersion.

Cell and atoms:
Unit cell a=4.383 b=8.484 c=10.845 alpha=90.00 beta=90.00 gamma=90.00
Space group Immm (No. 71)
Asymmetric unit:
Ca1 0.000 0.000 0.000
In1 0.000 0.193 0.353
In2 0.000 0.500 0.000
Ag1 0.000 0.500 0.267

Largest 6 diffraction maxima, by angle, 10 to 80 degrees two-theta:
2theta	Rel. int.	index
30.46	63	1 2 1
32.09	100	1 0 3
37.86	73	1 3 0
39.44	56	0 2 4
40.52	75	0 3 3
41.19	41	2 0 0

---

- Which formula does entry 3 have?
  K3Tl2Cd2Hg4